Diffraction record for Li2ZnAgF6. The XRD peak list is computed, not measured: it uses a cell relaxed with PBE and Cu Ka.

```
data_Li2ZnAgF6
_symmetry_space_group_name_H-M 'P 1'
_symmetry_Int_Tables_number 1
_symmetry_space_group_name_Hall 'P 1'
_cell_length_a 5.2370
_cell_length_b 5.3855
_cell_length_c 5.5501
_cell_angle_alpha 64.88
_cell_angle_beta 89.66
_cell_angle_gamma 61.62
loop_
_atom_site_label
_atom_site_type_symbol
_atom_site_fract_x
_atom_site_fract_y
_atom_site_fract_z
Li1 Li 0.0000 0.0000 0.0000
Li2 Li 0.4733 0.9760 0.5140
Zn1 Zn 0.2633 0.4332 0.8784
Ag1 Ag 0.7581 0.4330 0.3680
F1 F 0.0239 0.5951 0.1385
F2 F 0.2082 0.8722 0.7192
F3 F 0.3119 0.0101 0.1632
F4 F 0.5187 0.2497 0.6425
F5 F 0.6742 0.2365 0.1381
F6 F 0.8615 0.5651 0.6554
```

Main lines, sorted by position (2θ from 10° to 90°):
| two_theta | intensity | hkl |
| --- | --- | --- |
| 21.4 | 65 | 0 1 0 |
| 23.4 | 100 | 1 1 1 |
| 30.3 | 35 | 1 0 1 |
| 30.8 | 27 | 1 1 -1 |
| 32.5 | 23 | 0 1 2 |
| 47.8 | 19 | 1 -1 1 |

---

Diffraction record for InBrCl. The XRD peak list is computed, not measured: it uses a cell relaxed with PBE and Cu Ka.

```
data_InBrCl
_symmetry_space_group_name_H-M 'C 1 m 1'
_symmetry_Int_Tables_number 8
_symmetry_space_group_name_Hall 'C -2y'
_cell_length_a 13.6545
_cell_length_b 4.0129
_cell_length_c 8.4517
_cell_angle_alpha 90.00
_cell_angle_beta 114.86
_cell_angle_gamma 90.00
loop_
_atom_site_label
_atom_site_type_symbol
_atom_site_fract_x
_atom_site_fract_y
_atom_site_fract_z
In1 In 0.0000 0.0000 0.0000
In2 In 0.1205 0.5000 0.5696
Br1 Br 0.1518 0.5000 0.1140
Br2 Br 0.3447 0.0000 0.8887
Cl1 Cl 0.0001 0.0000 0.7032
Cl2 Cl 0.4860 0.5000 0.2873
```

Main lines, sorted by position (2θ from 10° to 90°):
| two_theta | intensity | hkl |
| --- | --- | --- |
| 11.5 | 43 | 0 0 1 |
| 14.1 | 33 | 2 0 -1 |
| 14.3 | 56 | 2 0 0 |
| 21.5 | 60 | 2 0 -2 |
| 31.1 | 100 | 3 1 0 |
| 45.2 | 35 | 0 2 0 |

---

Diffraction record for MnCrTc2. The XRD peak list is computed, not measured: it uses a cell relaxed with PBE and Cu Ka.

```
data_MnCrTc2
_symmetry_space_group_name_H-M 'I m m 2'
_symmetry_Int_Tables_number 44
_symmetry_space_group_name_Hall 'I 2 -2'
_cell_length_a 3.0105
_cell_length_b 4.2044
_cell_length_c 8.4047
_cell_angle_alpha 90.00
_cell_angle_beta 90.00
_cell_angle_gamma 90.00
loop_
_atom_site_label
_atom_site_type_symbol
_atom_site_fract_x
_atom_site_fract_y
_atom_site_fract_z
Mn1 Mn 0.0000 0.0000 0.0000
Cr1 Cr 0.0000 0.5000 0.2678
Tc1 Tc 0.0000 0.0000 0.5249
Tc2 Tc 0.0000 0.5000 0.7622
```

Main lines, sorted by position (2θ from 10° to 90°):
| two_theta | intensity | hkl |
| --- | --- | --- |
| 42.8 | 100 | 1 1 2 |
| 43.0 | 48 | 0 2 0 |
| 61.6 | 8 | 2 0 0 |
| 62.5 | 15 | 0 2 4 |
| 78.1 | 15 | 2 2 0 |
| 78.7 | 29 | 1 3 2 |